# 1
Theoretical powder X-ray diffraction pattern of Ce2Co3Si5 for Cu Kα (weighted mean of Kα1 and Kα2), from a cell relaxed with GGA-PBE.
Lines closer than 0.1° are merged.

Cell and atoms:
a b c (Å): 7.941 7.941 7.941
angles (deg): 105.13 89.44 138.48
Fractional coordinates of all 20 atoms:
Ce: 0.132 0.235 0.367
Ce: 0.368 0.735 0.103
Ce: 0.632 0.265 0.897
Ce: 0.868 0.765 0.633
Co: 0.137 0.884 0.020
Co: 0.250 0.750 0.500
Co: 0.363 0.384 0.747
Co: 0.637 0.616 0.253
Co: 0.750 0.250 0.500
Co: 0.863 0.116 0.980
Si: 0.016 0.750 0.266
Si: 0.104 0.649 0.753
Si: 0.250 0.250 0.000
Si: 0.396 0.149 0.545
Si: 0.484 0.750 0.734
Si: 0.516 0.250 0.266
Si: 0.604 0.851 0.455
Si: 0.750 0.750 0.000
Si: 0.896 0.351 0.247
Si: 0.984 0.250 0.734

Main lines, in order of rising 2θ (10° ≤ 2θ ≤ 90°):
3.684 Å, rel. 37
2.818 Å, rel. 40
2.504 Å, rel. 91
2.433 Å, rel. 100
1.993 Å, rel. 53
1.738 Å, rel. 26
1.559 Å, rel. 39
1.397 Å, rel. 13
1.309 Å, rel. 19
1.218 Å, rel. 13

# 2
Theoretical powder X-ray diffraction pattern of Ce3Co8Si for Cu Kα (weighted mean of Kα1 and Kα2), from a cell relaxed with GGA-PBE.
Lines closer than 0.1° are merged.

Cell and atoms:
a b c (Å): 4.980 4.980 15.812
angles (deg): 90.00 90.00 120.00
Fractional coordinates of all 24 atoms:
Ce: 0.333 0.667 0.040
Ce: 0.333 0.667 0.250
Ce: 0.333 0.667 0.460
Ce: 0.667 0.333 0.540
Ce: 0.667 0.333 0.750
Ce: 0.667 0.333 0.960
Co: 0.000 0.000 0.000
Co: 0.000 0.000 0.500
Co: 0.166 0.333 0.630
Co: 0.166 0.333 0.870
Co: 0.166 0.834 0.630
Co: 0.166 0.834 0.870
Co: 0.333 0.166 0.130
Co: 0.333 0.166 0.370
Co: 0.333 0.667 0.750
Co: 0.667 0.333 0.250
Co: 0.667 0.834 0.630
Co: 0.667 0.834 0.870
Co: 0.834 0.166 0.130
Co: 0.834 0.166 0.370
Co: 0.834 0.667 0.130
Co: 0.834 0.667 0.370
Si: 0.000 0.000 0.250
Si: 0.000 0.000 0.750

Main lines, in order of rising 2θ (10° ≤ 2θ ≤ 90°):
2.550 Å, rel. 81
2.490 Å, rel. 51
2.157 Å, rel. 19
2.137 Å, rel. 43
2.107 Å, rel. 100
1.996 Å, rel. 24
1.449 Å, rel. 28
1.362 Å, rel. 21
1.351 Å, rel. 22
1.245 Å, rel. 23

# 3
Theoretical powder X-ray diffraction pattern of Ce3Co8Si for Cu Kα (weighted mean of Kα1 and Kα2), from a cell relaxed with GGA-PBE.
Lines closer than 0.1° are merged.

Cell and atoms:
a b c (Å): 5.055 5.055 15.402
angles (deg): 90.00 90.00 120.00
Fractional coordinates of all 24 atoms:
Ce: 0.333 0.667 0.048
Ce: 0.333 0.667 0.250
Ce: 0.333 0.667 0.452
Ce: 0.667 0.333 0.548
Ce: 0.667 0.333 0.750
Ce: 0.667 0.333 0.952
Co: 0.000 0.000 0.250
Co: 0.000 0.000 0.750
Co: 0.167 0.334 0.626
Co: 0.167 0.334 0.874
Co: 0.167 0.833 0.626
Co: 0.167 0.833 0.874
Co: 0.333 0.667 0.750
Co: 0.334 0.167 0.126
Co: 0.334 0.167 0.374
Co: 0.666 0.833 0.626
Co: 0.666 0.833 0.874
Co: 0.667 0.333 0.250
Co: 0.833 0.167 0.126
Co: 0.833 0.167 0.374
Co: 0.833 0.666 0.126
Co: 0.833 0.666 0.374
Si: 0.000 0.000 0.000
Si: 0.000 0.000 0.500

Main lines, in order of rising 2θ (10° ≤ 2θ ≤ 90°):
2.528 Å, rel. 65
2.519 Å, rel. 96
2.189 Å, rel. 24
2.167 Å, rel. 56
2.113 Å, rel. 100
2.014 Å, rel. 40
1.801 Å, rel. 22
1.458 Å, rel. 46
1.365 Å, rel. 23
1.264 Å, rel. 30